For BaYCr4O7, a PBE+U-relaxed structure gives the calculated powder XRD pattern in this record (Cu Kα).
Lines closer than 0.1° are merged.

Peak list (12 most intense, 5° ≤ 2θ ≤ 70°, most intense first)
(1 1 2), 2θ = 32.5°, intensity 100; (1 0 3), 2θ = 29.1°, intensity 58; (2 0 1), 2θ = 33.5°, intensity 58; (1 1 0), 2θ = 28.1°, intensity 40; (2 0 5), 2θ = 53.0°, intensity 37; (2 2 0), 2θ = 58.0°, intensity 30; (3 0 2), 2θ = 52.5°, intensity 24; (2 1 3), 2θ = 50.3°, intensity 21; (0 0 4), 2θ = 32.3°, intensity 17; (1 0 5), 2θ = 44.0°, intensity 10; (3 1 3), 2θ = 66.2°, intensity 10; (2 2 4), 2θ = 68.0°, intensity 10

Structural model:
Cell lengths 6.3569, 6.3569, 11.0874 Å; angles 90.00, 90.00, 120.00 degrees
Space group P6_3mc (No. 186)
Symmetry-distinct sites (fractional):
Ba 0.3333 0.6667 0.0000 [2 per cell]
Y 0.3333 0.6667 0.4069 [2 per cell]
Cr 0.0000 0.0000 0.4585 [2 per cell]
Cr 0.1768 0.3536 0.7099 [6 per cell]
O 0.0000 0.0000 0.2645 [2 per cell]
O 0.0233 0.5117 0.8102 [6 per cell]
O 0.1602 0.3204 0.5316 [6 per cell]